# SmNiSb
Computed PXRD pattern, copper Kα. Input: a DFT-relaxed cell (GGA-PBE, the Materials Project).

Crystal structure
```
SmNiSb
1.0
4.341 0.000 0.000
-2.171 3.760 0.000
0.000 0.000 4.109
Sm Ni Sb
1 1 1
Cartesian
0.000 0.000 0.000 Sm
0.000 2.507 2.054 Ni
2.171 1.253 2.054 Sb
```

The 12 most intense peaks (5 to 70 degrees two-theta), by intensity:
2.774 Å, 32.27°, intensity 100; 2.171 Å, 41.60°, intensity 46; 1.492 Å, 62.22°, intensity 27; 1.709 Å, 53.61°, intensity 23; 2.054 Å, 44.08°, intensity 13; 3.760 Å, 23.66°, intensity 10; 1.803 Å, 50.64°, intensity 3; 1.880 Å, 48.42°, intensity 1; 1.421 Å, 65.71°, intensity 1; 1.387 Å, 67.54°, intensity 1; 4.109 Å, 21.63°, intensity 1; 1.919 Å, 47.36°, intensity 1

=====

# Ni4Sn3Sb9
Computed PXRD pattern, copper Kα. Input: a DFT-relaxed cell (GGA-PBE, the Materials Project).

Crystal structure
```
Ni4Sn3Sb9
1.0
6.493 -4.672 0.000
6.493 4.672 0.000
-6.487 0.000 6.494
Ni Sn Sb
4 3 9
Cartesian
3.250 2.336 3.226 Ni
6.493 2.355 0.000 Ni
3.250 -2.336 3.226 Ni
6.493 -2.355 0.000 Ni
-2.101 0.000 3.188 Sn
2.107 0.000 3.279 Sn
0.048 0.000 5.341 Sn
-0.036 0.000 1.145 Sb
4.276 1.525 1.021 Sb
2.221 3.135 5.438 Sb
4.276 -1.525 1.021 Sb
5.418 1.493 4.308 Sb
7.579 1.483 2.160 Sb
5.418 -1.493 4.308 Sb
7.579 -1.483 2.160 Sb
2.221 -3.135 5.438 Sb
```

The 12 most intense peaks (5 to 70 degrees two-theta), by intensity:
2.907 Å, 30.76°, intensity 100; 2.950 Å, 30.30°, intensity 52; 2.482 Å, 36.20°, intensity 20; 2.457 Å, 36.57°, intensity 19; 2.467 Å, 36.42°, intensity 19; 1.880 Å, 48.42°, intensity 18; 1.582 Å, 58.33°, intensity 15; 2.082 Å, 43.46°, intensity 13; 2.060 Å, 43.95°, intensity 13; 2.054 Å, 44.10°, intensity 12; 1.802 Å, 50.65°, intensity 12; 1.821 Å, 50.11°, intensity 11

=====

# U3Ni3Sn2Sb2
Computed PXRD pattern, copper Kα. Input: a DFT-relaxed cell (GGA-PBE, the Materials Project).

Crystal structure
```
U3Ni3Sn2Sb2
1.0
-4.651 4.651 4.651
4.651 -4.651 4.651
4.651 4.651 -4.651
U Ni Sn Sb
6 6 4 4
Cartesian
4.651 -2.326 3.489 U
3.489 4.651 -2.326 U
4.651 2.326 1.162 U
2.326 1.162 4.651 U
1.162 4.651 2.326 U
-2.326 3.489 4.651 U
6.977 1.151 0.000 Ni
3.500 0.000 2.326 Ni
2.326 3.500 0.000 Ni
0.000 2.326 3.500 Ni
1.151 0.000 6.977 Ni
0.000 6.977 1.151 Ni
3.121 1.530 -1.530 Sn
1.530 -1.530 3.121 Sn
1.530 1.530 1.530 Sn
-1.530 3.121 1.530 Sn
5.430 -0.779 0.779 Sb
0.779 5.430 -0.779 Sb
-0.779 0.779 5.430 Sb
3.872 3.872 3.872 Sb
```

The 12 most intense peaks (5 to 70 degrees two-theta), by intensity:
2.486 Å, 36.13°, intensity 100; 2.942 Å, 30.39°, intensity 62; 2.080 Å, 43.51°, intensity 43; 1.509 Å, 61.44°, intensity 25; 3.798 Å, 23.42°, intensity 16; 1.983 Å, 45.75°, intensity 15; 1.899 Å, 47.91°, intensity 14; 1.698 Å, 53.99°, intensity 12; 1.435 Å, 64.97°, intensity 12; 1.471 Å, 63.22°, intensity 12; 1.372 Å, 68.40°, intensity 9; 1.824 Å, 49.99°, intensity 8

=====

# TbNiSb2
Computed PXRD pattern, copper Kα. Input: a DFT-relaxed cell (GGA-PBE, the Materials Project).

Crystal structure
```
TbNiSb2
1.0
4.383 0.000 0.000
0.000 4.383 0.000
0.000 0.000 9.330
Tb Ni Sb
2 2 4
Cartesian
1.096 1.096 2.244 Tb
3.287 3.287 7.086 Tb
1.096 3.287 0.000 Ni
3.287 1.096 0.000 Ni
1.096 1.096 8.022 Sb
1.096 3.287 4.665 Sb
3.287 1.096 4.665 Sb
3.287 3.287 1.308 Sb
```

The 12 most intense peaks (5 to 70 degrees two-theta), by intensity:
2.582 Å, 34.75°, intensity 100; 2.192 Å, 41.19°, intensity 53; 2.536 Å, 35.39°, intensity 32; 2.941 Å, 30.39°, intensity 21; 1.658 Å, 55.41°, intensity 18; 1.550 Å, 59.67°, intensity 17; 1.717 Å, 53.36°, intensity 15; 1.352 Å, 69.56°, intensity 14; 3.194 Å, 27.93°, intensity 13; 3.110 Å, 28.70°, intensity 11; 1.597 Å, 57.72°, intensity 10; 3.967 Å, 22.41°, intensity 9